[1]
Theoretical X-ray diffraction stick pattern
Compound: Tb4Pr7Sm
Radiation: Cu Kα X-rays
Structure: a structure optimized by DFT (GGA-PBE)

Largest 12 diffraction maxima, by angle, 10 to 80 degrees two-theta:
2θ = 28.2°, I = 36
2θ = 28.8°, I = 17
2θ = 30.3°, I = 50
2θ = 31.1°, I = 100
2θ = 32.7°, I = 89
2θ = 39.2°, I = 14
2θ = 49.4°, I = 39
2θ = 53.3°, I = 22
2θ = 56.5°, I = 19
2θ = 59.1°, I = 46
2θ = 59.6°, I = 16
2θ = 60.6°, I = 15

Atomic structure:
abc: 6.388 7.370 9.091
angles: 90.02 103.51 90.00
Space group P-1 (No. 2)
Inequivalent atoms, fractional coordinates:
Tb (0.220, 0.000, 0.165) (multiplicity 2)
Tb (0.277, 0.247, 0.833) (multiplicity 2)
Pr (0.000, 0.000, 0.500) (multiplicity 1)
Pr (0.222, 0.500, 0.166) (multiplicity 2)
Pr (0.280, 0.752, 0.835) (multiplicity 2)
Pr (0.500, 0.248, 0.502) (multiplicity 2)
Sm (0.000, 0.500, 0.500) (multiplicity 1)

=====

[2]
Theoretical X-ray diffraction stick pattern
Compound: Tb3Pr3Sm5
Radiation: Cu Kα X-rays
Structure: a structure optimized by DFT (GGA-PBE)

Largest 12 diffraction maxima, by angle, 10 to 80 degrees two-theta:
2θ = 10.5°, I = 43
2θ = 16.2°, I = 55
2θ = 26.6°, I = 85
2θ = 27.9°, I = 40
2θ = 31.8°, I = 43
2θ = 32.4°, I = 58
2θ = 32.7°, I = 54
2θ = 35.8°, I = 100
2θ = 43.5°, I = 24
2θ = 46.2°, I = 30
2θ = 60.4°, I = 47
2θ = 71.0°, I = 23

Atomic structure:
abc: 9.7610 9.7610 5.4809
angles: 90.00 90.00 120.00
Space group P-62m (No. 189)
Inequivalent atoms, fractional coordinates:
Tb (0.0000, 0.5298, 0.0000) (multiplicity 3)
Pr (0.0000, 0.3613, 0.5000) (multiplicity 3)
Sm (0.0000, 0.7335, 0.5000) (multiplicity 3)
Sm (0.3333, 0.6667, 0.5000) (multiplicity 2)

=====

Q: Number 2 is which compound?
A: Tb3Pr3Sm5

=====

Q: What is the formula in the second record?
A: Tb3Pr3Sm5

=====

Repeat the first record exactly.
Theoretical X-ray diffraction stick pattern
Compound: Tb4Pr7Sm
Radiation: Cu Kα X-rays
Structure: a structure optimized by DFT (GGA-PBE)

Largest 12 diffraction maxima, by angle, 10 to 80 degrees two-theta:
2θ = 28.2°, I = 36
2θ = 28.8°, I = 17
2θ = 30.3°, I = 50
2θ = 31.1°, I = 100
2θ = 32.7°, I = 89
2θ = 39.2°, I = 14
2θ = 49.4°, I = 39
2θ = 53.3°, I = 22
2θ = 56.5°, I = 19
2θ = 59.1°, I = 46
2θ = 59.6°, I = 16
2θ = 60.6°, I = 15

Atomic structure:
abc: 6.388 7.370 9.091
angles: 90.02 103.51 90.00
Space group P-1 (No. 2)
Inequivalent atoms, fractional coordinates:
Tb (0.220, 0.000, 0.165) (multiplicity 2)
Tb (0.277, 0.247, 0.833) (multiplicity 2)
Pr (0.000, 0.000, 0.500) (multiplicity 1)
Pr (0.222, 0.500, 0.166) (multiplicity 2)
Pr (0.280, 0.752, 0.835) (multiplicity 2)
Pr (0.500, 0.248, 0.502) (multiplicity 2)
Sm (0.000, 0.500, 0.500) (multiplicity 1)